Record 1
Structure and computed X-ray powder pattern of Mg2BrCl (the GGA-PBE geometry in Alexandria; CuKα).
Kinematic intensities with the Lorentz-polarization factor, no thermal factor.

Largest 8 diffraction maxima, in order of falling intensity, 10 to 90 degrees two-theta:
- 2θ = 17.7°, I = 100, hkl 2 0 0
- 2θ = 15.6°, I = 58, hkl 2 0 -1
- 2θ = 37.2°, I = 47, hkl 1 1 -2
- 2θ = 37.7°, I = 47, hkl 3 1 -2
- 2θ = 37.5°, I = 42, hkl 3 1 0
- 2θ = 27.4°, I = 32, hkl 1 1 0
- 2θ = 33.7°, I = 30, hkl 1 1 1
- 2θ = 30.2°, I = 26, hkl 0 0 2

Structural model:
```
data_Mg2BrCl
_symmetry_space_group_name_H-M 'C 1 m 1'
_symmetry_Int_Tables_number 8
_cell_length_a 12.0665
_cell_length_b 3.4384
_cell_length_c 7.1167
_cell_angle_alpha 90.00
_cell_angle_beta 123.68
_cell_angle_gamma 90.00
loop_
_symmetry_equiv_pos_as_xyz
'x,y,z'
'x,-y,z'
'x+1/2,y+1/2,z'
'x+1/2,-y+1/2,z'
loop_
_atom_site_label
_atom_site_type_symbol
_atom_site_fract_x
_atom_site_fract_y
_atom_site_fract_z
Mg1 Mg 0.0000 0.0000 0.0000
Mg2 Mg 0.2441 0.0000 0.7561
Br1 Br 0.1510 0.5000 0.3707
Cl1 Cl 0.1056 0.5000 0.8294
```

Record 2
Structure and computed X-ray powder pattern of PrU3Se6 (the GGA-PBE geometry in Alexandria; CuKα).
Kinematic intensities with the Lorentz-polarization factor, no thermal factor.

Largest 8 diffraction maxima, in order of falling intensity, 10 to 90 degrees two-theta:
- 2θ = 44.4°, I = 100, hkl 0 2 0
- 2θ = 29.7°, I = 99, hkl 2 1 1
- 2θ = 25.3°, I = 97, hkl 1 1 1
- 2θ = 40.4°, I = 94, hkl 4 1 -3
- 2θ = 23.0°, I = 72, hkl 3 0 -1
- 2θ = 32.8°, I = 70, hkl 3 1 0
- 2θ = 15.5°, I = 58, hkl 2 0 -1
- 2θ = 22.1°, I = 57, hkl 1 0 -3

Structural model:
```
data_PrU3Se6
_symmetry_space_group_name_H-M 'P 1 21/m 1'
_symmetry_Int_Tables_number 11
_cell_length_a 11.6011
_cell_length_b 4.0846
_cell_length_c 12.0647
_cell_angle_alpha 90.00
_cell_angle_beta 108.62
_cell_angle_gamma 90.00
loop_
_symmetry_equiv_pos_as_xyz
'x,y,z'
'-x,-y,-z'
'-x,y+1/2,-z'
'x,-y+1/2,z'
loop_
_atom_site_label
_atom_site_type_symbol
_atom_site_fract_x
_atom_site_fract_y
_atom_site_fract_z
Pr1 Pr 0.0484 0.2500 0.1963
U1 U 0.1522 0.2500 0.5810
U2 U 0.3177 0.7500 0.0050
U3 U 0.4398 0.2500 0.3342
Se1 Se 0.0872 0.7500 0.4024
Se2 Se 0.1218 0.2500 0.9671
Se3 Se 0.1970 0.7500 0.7523
Se4 Se 0.2634 0.7500 0.2286
Se5 Se 0.3879 0.2500 0.5531
Se6 Se 0.4921 0.2500 0.1198
```

Record 3
Structure and computed X-ray powder pattern of Li6Mg23 (the GGA-PBE geometry in Alexandria; CuKα).
Kinematic intensities with the Lorentz-polarization factor, no thermal factor.

Largest 8 diffraction maxima, in order of falling intensity, 10 to 90 degrees two-theta:
- 2θ = 35.7°, I = 100, hkl 4 4 0
- 2θ = 37.4°, I = 28, hkl 5 3 1
- 2θ = 12.4°, I = 28, hkl 2 0 0
- 2θ = 10.8°, I = 27, hkl 1 1 1
- 2θ = 64.1°, I = 21, hkl 8 4 4
- 2θ = 32.7°, I = 20, hkl 3 3 3
- 2θ = 42.1°, I = 19, hkl 6 2 2
- 2θ = 21.6°, I = 18, hkl 2 2 2

Structural model:
```
data_Li6Mg23
_symmetry_space_group_name_H-M 'F m -3 m'
_symmetry_Int_Tables_number 225
_symmetry_space_group_name_Hall '-F 4 2 3'
_cell_length_a 14.2310
_cell_length_b 14.2310
_cell_length_c 14.2310
_cell_angle_alpha 90.00
_cell_angle_beta 90.00
_cell_angle_gamma 90.00
loop_
_atom_site_label
_atom_site_type_symbol
_atom_site_fract_x
_atom_site_fract_y
_atom_site_fract_z
Li1 Li 0.0000 0.0000 0.2311
Mg1 Mg 0.0000 0.0000 0.5000
Mg2 Mg 0.0000 0.2500 0.2500
Mg3 Mg 0.1212 0.1212 0.3788
Mg4 Mg 0.1615 0.1615 0.1615
```

Record 4
Structure and computed X-ray powder pattern of TiS5Cl (the GGA-PBE geometry in Alexandria; CuKα).
Kinematic intensities with the Lorentz-polarization factor, no thermal factor.

Largest 8 diffraction maxima, in order of falling intensity, 10 to 90 degrees two-theta:
- 2θ = 11.6°, I = 100, hkl 0 2 0
- 2θ = 19.3°, I = 82, hkl 1 1 -1
- 2θ = 17.6°, I = 59, hkl 1 1 0
- 2θ = 37.5°, I = 41, hkl 1 1 -2
- 2θ = 25.4°, I = 30, hkl 1 3 -1
- 2θ = 33.7°, I = 29, hkl 1 5 0
- 2θ = 21.6°, I = 23, hkl 0 0 1
- 2θ = 35.6°, I = 23, hkl 2 2 0

Structural model:
```
data_TiS5Cl
_symmetry_space_group_name_H-M 'C 1 2 1'
_symmetry_Int_Tables_number 5
_cell_length_a 6.4472
_cell_length_b 15.3113
_cell_length_c 4.9623
_cell_angle_alpha 90.00
_cell_angle_beta 123.99
_cell_angle_gamma 90.00
loop_
_symmetry_equiv_pos_as_xyz
'x,y,z'
'-x,y,-z'
'x+1/2,y+1/2,z'
'-x+1/2,y+1/2,-z'
loop_
_atom_site_label
_atom_site_type_symbol
_atom_site_fract_x
_atom_site_fract_y
_atom_site_fract_z
Ti1 Ti 0.0000 0.0000 0.0000
S1 S 0.0000 0.8510 0.0000
S2 S 0.1034 0.4094 0.7512
S3 S 0.1858 0.1441 0.1318
Cl1 Cl 0.0000 0.0082 0.5000
```